This entry pairs a crystal structure of Ca5TbPd6 with its simulated X-ray powder pattern. Radiation: Cu Kα (weighted mean of Kα1 and Kα2). Structure: a GGA-PBE-relaxed structure.

Structural model:
```
Ca5TbPd6
1.0
2.488 -7.462 0.000
2.488 7.462 0.000
0.000 0.000 7.124
Ca Tb Pd
5 1 6
Direct
0.000 0.000 0.000
0.330 0.670 0.500
0.334 0.666 0.000
0.666 0.334 0.000
0.670 0.330 0.500
0.000 0.000 0.500
0.160 0.840 0.254
0.160 0.840 0.746
0.500 0.500 0.267
0.500 0.500 0.733
0.840 0.160 0.254
0.840 0.160 0.746
```

Peak list (8 most intense, 5 to 70 degrees two-theta, low angle first)
2θ = 12.43°, intensity 7
2θ = 25.32°, intensity 9
2θ = 35.88°, intensity 100
2θ = 36.11°, intensity 49
2θ = 51.30°, intensity 9
2θ = 51.99°, intensity 17
2θ = 64.33°, intensity 17
2θ = 64.78°, intensity 33